For CaGaSiH, a structure optimized by DFT (PBE) gives the calculated powder diffractogram in this record (copper Kα).
Peak positions follow from Bragg's law for the DFT cell and can differ from measured ones.

Atomic structure:
a = 4.0911 Å, b = 4.0911 Å, c = 4.7628 Å
α = 90.00°, β = 90.00°, γ = 120.00°
Space group P3m1 (No. 156)
Symmetry-distinct sites (fractional):
Ca1 0.0000 0.0000 0.0000 [1 per cell]
Ga1 0.6667 0.3333 0.5568 [1 per cell]
Si1 0.3333 0.6667 0.4337 [1 per cell]
H1 0.6667 0.3333 0.9250 [1 per cell]

Largest 10 diffraction maxima, in order of falling intensity, 2θ = 10–90°:
31.47 deg, 2.843 Å, I = 100.0, hkl 0 1 1; 44.28 deg, 2.046 Å, I = 38.2, hkl 1 1 0; 59.58 deg, 1.552 Å, I = 20.6, hkl 1 1 2; 55.33 deg, 1.660 Å, I = 18.8, hkl 2 0 1; 18.63 deg, 4.763 Å, I = 16.4, hkl 0 0 1; 45.92 deg, 1.976 Å, I = 15.6, hkl 1 0 2; 73.46 deg, 1.289 Å, I = 15.4, hkl 1 2 1; 37.78 deg, 2.381 Å, I = 14.0, hkl 0 0 2; 25.14 deg, 3.543 Å, I = 14.0, hkl 1 0 0; 64.30 deg, 1.449 Å, I = 12.9, hkl 0 1 3